The following is a theoretical PXRD pattern of BaCaMg2. It was derived from a PBE-relaxed structure, using copper Kα.
Intensities are scaled so that the largest is 1000.

The 6 most intense peaks (10° ≤ 2θ ≤ 90°), low angle first:
| (hkl) | 2theta | I (rel.) |
| --- | --- | --- |
| 1 1 1 | 18.90 | 751 |
| 2 0 2 | 31.08 | 1000 |
| 2 2 0 | 31.19 | 495 |
| 2 2 4 | 55.22 | 186 |
| 2 4 2 | 55.36 | 185 |
| 4 2 2 | 55.49 | 183 |

Structural model:
Cell: 8.094 8.130 8.168 Å, 90.00 90.00 90.00°
Space group F222 (No. 22)
Asymmetric unit:
Ba: 0.000 0.000 0.000 (multiplicity 4)
Ca: 0.250 0.250 0.750 (multiplicity 4)
Mg: 0.000 0.000 0.500 (multiplicity 4)
Mg: 0.250 0.250 0.250 (multiplicity 4)

***

The following is a theoretical PXRD pattern of Ba2CaMg2. It was derived from a PBE-relaxed structure, using copper Kα.
Intensities are scaled so that the largest is 1000.

The 6 most intense peaks (10° ≤ 2θ ≤ 90°), low angle first:
| (hkl) | 2theta | I (rel.) |
| --- | --- | --- |
| 1 1 0 | 19.31 | 424 |
| 1 1 -2 | 24.36 | 795 |
| 0 1 2 | 24.71 | 690 |
| 2 0 -2 | 25.29 | 399 |
| 2 1 0 | 28.59 | 1000 |
| 0 2 0 | 30.41 | 496 |

Structural model:
Cell: 7.854 5.880 9.716 Å, 90.00 110.19 90.00°
Space group P2_1/m (No. 11)
Asymmetric unit:
Ba: 0.115 0.250 0.401 (multiplicity 2)
Ba: 0.141 0.250 0.924 (multiplicity 2)
Ca: 0.435 0.750 0.229 (multiplicity 2)
Mg: 0.381 0.750 0.870 (multiplicity 2)
Mg: 0.403 0.750 0.564 (multiplicity 2)

***

The following is a theoretical PXRD pattern of BaNaCaMg. It was derived from a PBE-relaxed structure, using copper Kα.
Intensities are scaled so that the largest is 1000.

The 6 most intense peaks (10° ≤ 2θ ≤ 90°), low angle first:
| (hkl) | 2theta | I (rel.) |
| --- | --- | --- |
| 0 0 2 | 19.51 | 209 |
| 1 0 0 | 21.12 | 366 |
| 1 0 1 | 23.30 | 378 |
| 1 0 2 | 28.91 | 1000 |
| 1 1 0 | 30.04 | 502 |
| 2 1 2 | 52.65 | 355 |

Structural model:
Cell: 4.206 4.206 9.100 Å, 90.00 90.00 90.00°
Space group P4mm (No. 99)
Asymmetric unit:
Ba: 0.000 0.000 0.000 (multiplicity 1)
Na: 0.500 0.500 0.307 (multiplicity 1)
Ca: 0.000 0.000 0.555 (multiplicity 1)
Mg: 0.500 0.500 0.748 (multiplicity 1)

***

The following is a theoretical PXRD pattern of BaCa2MgSi2O8. It was derived from a PBE-relaxed structure, using copper Kα.
Intensities are scaled so that the largest is 1000.

The 6 most intense peaks (10° ≤ 2θ ≤ 90°), low angle first:
| (hkl) | 2theta | I (rel.) |
| --- | --- | --- |
| 0 1 1 | 22.74 | 575 |
| 0 1 2 | 32.22 | 782 |
| 1 1 0 | 32.54 | 1000 |
| 0 2 1 | 40.07 | 302 |
| 2 0 2 | 46.45 | 517 |
| 1 2 2 | 57.86 | 276 |

Structural model:
Cell: 5.5028 5.5028 6.8395 Å, 90.00 90.00 120.00°
Space group P-3m1 (No. 164)
Asymmetric unit:
Ba: 0.0000 0.0000 0.0000 (multiplicity 1)
Ca: 0.3333 0.6667 0.6575 (multiplicity 2)
Mg: 0.0000 0.0000 0.5000 (multiplicity 1)
Si: 0.3333 0.6667 0.2233 (multiplicity 2)
O: 0.1755 0.3510 0.3231 (multiplicity 6)
O: 0.3333 0.6667 0.9859 (multiplicity 2)

***

The following is a theoretical PXRD pattern of Ba2CaMg3Sn4. It was derived from a PBE-relaxed structure, using copper Kα.
Intensities are scaled so that the largest is 1000.

The 6 most intense peaks (10° ≤ 2θ ≤ 90°), low angle first:
| (hkl) | 2theta | I (rel.) |
| --- | --- | --- |
| 1 0 3 | 27.79 | 414 |
| 1 1 2 | 29.01 | 1000 |
| 2 0 0 | 35.99 | 528 |
| 1 0 5 | 40.14 | 290 |
| 2 1 5 | 55.00 | 232 |
| 3 1 2 | 60.48 | 251 |

Structural model:
Cell: 4.990 4.990 12.580 Å, 90.00 90.00 90.00°
Space group P-4m2 (No. 115)
Asymmetric unit:
Ba: 0.000 0.500 0.239 (multiplicity 2)
Ca: 0.000 0.000 0.500 (multiplicity 1)
Mg: 0.000 0.500 0.869 (multiplicity 2)
Mg: 0.500 0.500 0.500 (multiplicity 1)
Sn: 0.000 0.000 0.000 (multiplicity 1)
Sn: 0.000 0.500 0.645 (multiplicity 2)
Sn: 0.500 0.500 0.000 (multiplicity 1)

***

The following is a theoretical PXRD pattern of BaCaMg2Tl4. It was derived from a PBE-relaxed structure, using copper Kα.
Intensities are scaled so that the largest is 1000.

The 6 most intense peaks (10° ≤ 2θ ≤ 90°), low angle first:
| (hkl) | 2theta | I (rel.) |
| --- | --- | --- |
| 1 0 4 | 22.88 | 728 |
| 0 1 8 | 30.41 | 923 |
| 1 1 0 | 34.62 | 1000 |
| 1 0 10 | 35.10 | 296 |
| 2 0 8 | 46.74 | 283 |
| 1 2 8 | 59.46 | 278 |

Structural model:
Cell: 5.1815 5.1815 31.1137 Å, 90.00 90.00 120.00°
Space group R-3m (No. 166, hexagonal axes)
Asymmetric unit:
Ba: 0.0000 0.0000 0.0000 (multiplicity 3)
Ca: 0.0000 0.0000 0.5000 (multiplicity 3)
Mg: 0.0000 0.0000 0.2366 (multiplicity 6)
Tl: 0.0000 0.0000 0.1227 (multiplicity 6)
Tl: 0.0000 0.0000 0.3943 (multiplicity 6)